(1)
Computed powder diffractogram
Compound: KPaTe4Pd2
Radiation: Cu Kα, 1.54184 Å
Structure: a cell relaxed with PBE
Kinematic intensities with the Lorentz-polarization factor, no thermal factor.

Largest 6 diffraction maxima, in order of rising 2θ, 2θ from 10° to 90°:
(0 1 1), 15.34 deg, d 5.776, rel. 64.1
(1 1 2), 27.27 deg, d 3.270, rel. 63.2
(0 2 2), 30.97 deg, d 2.888, rel. 49.8
(2 0 2), 33.71 deg, d 2.659, rel. 36.4
(2 2 0), 34.57 deg, d 2.595, rel. 100.0
(1 1 4), 46.58 deg, d 1.950, rel. 38.8

Atomic structure:
```
16
Lattice="6.8587 0.0000 0.0000 0.0000 7.9351 0.0000 0.0000 0.0000 8.4224" Properties=species:S:1:pos:R:3 pbc="T T T"
K 0.0000 0.0000 0.0000
K 3.4294 3.9676 4.2112
Pa 0.0000 0.0000 4.2112
Pa 3.4294 3.9676 0.0000
Te 1.5076 1.8821 2.3750
Te 1.5076 6.0530 6.0474
Te 1.9218 2.0854 6.5861
Te 1.9218 5.8497 1.8362
Te 4.9370 2.0854 1.8362
Te 4.9370 5.8497 6.5861
Te 5.3512 1.8821 6.0474
Te 5.3512 6.0530 2.3750
Pd 0.0000 3.9676 1.3963
Pd 0.0000 3.9676 7.0261
Pd 3.4294 0.0000 2.8149
Pd 3.4294 0.0000 5.6075
```

---

(2)
Computed powder diffractogram
Compound: LaSm4Tm3
Radiation: Cu Kα, 1.54184 Å
Structure: a cell relaxed with PBE
Kinematic intensities with the Lorentz-polarization factor, no thermal factor.

Largest 6 diffraction maxima, in order of rising 2θ, 2θ from 10° to 90°:
(0 0 2), 28.21 deg, d 3.164, rel. 23.8
(4 0 0), 31.15 deg, d 2.871, rel. 24.4
(2 2 1), 32.31 deg, d 2.771, rel. 100.0
(4 0 2), 42.52 deg, d 2.126, rel. 15.7
(6 2 1), 56.16 deg, d 1.638, rel. 20.8
(4 2 3), 60.08 deg, d 1.540, rel. 15.1

Atomic structure:
```
16
Lattice="11.4853 0.0000 0.0000 0.0000 7.3219 0.0000 0.0000 0.0000 6.3135" Properties=species:S:1:pos:R:3 pbc="T T T"
La 0.0000 0.9191 0.0000
La 5.7426 6.4028 3.1567
Sm 0.0000 2.7412 3.2019
Sm 0.0000 4.6083 6.3078
Sm 2.8234 4.5853 2.1341
Sm 2.9192 2.7366 5.2909
Sm 5.7426 2.7136 3.1511
Sm 5.7426 4.5807 0.0452
Sm 8.5661 2.7366 5.2909
Sm 8.6619 4.5853 2.1341
Tm 0.0000 6.4165 3.1801
Tm 2.8614 0.8958 2.1216
Tm 2.8813 6.4262 5.2784
Tm 5.7426 0.9055 0.0233
Tm 8.6040 6.4262 5.2784
Tm 8.6239 0.8958 2.1216
```

---

(3)
Computed powder diffractogram
Compound: SiB3N3
Radiation: Cu Kα, 1.54184 Å
Structure: a cell relaxed with PBE
Kinematic intensities with the Lorentz-polarization factor, no thermal factor.

Largest 6 diffraction maxima, in order of rising 2θ, 2θ from 10° to 90°:
(1 1 0), 26.82 deg, d 3.325, rel. 3.5
(2 0 0), 38.29 deg, d 2.351, rel. 50.9
(2 1 0), 43.02 deg, d 2.103, rel. 6.3
(2 1 1), 47.36 deg, d 1.919, rel. 100.0
(3 2 1), 75.69 deg, d 1.257, rel. 43.8
(4 0 0), 81.97 deg, d 1.175, rel. 13.1

Atomic structure:
```
14
Lattice="4.7017 0.0000 0.0000 0.0000 4.7017 0.0000 0.0000 0.0000 4.7017" Properties=species:S:1:pos:R:3 pbc="T T T"
Si 0.0000 0.0000 0.0000
Si 2.3509 2.3509 2.3509
B 0.0000 1.1754 2.3509
B 0.0000 3.5263 2.3509
B 1.1754 2.3509 0.0000
B 2.3509 0.0000 1.1754
B 2.3509 0.0000 3.5263
B 3.5263 2.3509 0.0000
N 0.0000 2.3509 1.1754
N 0.0000 2.3509 3.5263
N 1.1754 0.0000 2.3509
N 2.3509 1.1754 0.0000
N 2.3509 3.5263 0.0000
N 3.5263 0.0000 2.3509
```

---

(4)
Computed powder diffractogram
Compound: Pr4InAg
Radiation: Cu Kα, 1.54184 Å
Structure: a cell relaxed with PBE
Kinematic intensities with the Lorentz-polarization factor, no thermal factor.

Largest 6 diffraction maxima, in order of rising 2θ, 2θ from 10° to 90°:
(2 0 2), 31.28 deg, d 2.860, rel. 100.0
(3 1 0), 31.67 deg, d 2.825, rel. 97.4
(1 1 -2), 32.78 deg, d 2.732, rel. 95.4
(5 1 2), 55.20 deg, d 1.664, rel. 30.9
(1 1 4), 57.33 deg, d 1.607, rel. 34.3
(2 2 2), 58.06 deg, d 1.589, rel. 33.7

Atomic structure:
```
12
Lattice="13.1779 0.0000 0.0000 0.0000 3.8207 0.0000 -2.3115 0.0000 7.4663" Properties=species:S:1:pos:R:3 pbc="T T T"
Pr 1.1617 0.0000 2.4760
Pr 0.1195 0.0000 6.1138
Pr 4.1579 1.9104 1.3525
Pr 3.1157 1.9104 4.9903
Pr 7.7506 1.9104 2.4760
Pr 6.7084 1.9104 6.1138
Pr 10.7469 0.0000 1.3525
Pr 9.7047 0.0000 4.9903
In 0.0000 1.9104 0.0000
In 6.5889 0.0000 0.0000
Ag -1.1558 1.9104 3.7331
Ag 5.4332 0.0000 3.7331
```